# SiNiO2
Computed powder X-ray diffraction pattern, Cu Kα. Input: a DFT-relaxed cell (PBE+U, Alexandria).
Intensities are scaled so that the largest is 1000.

Main lines, sorted by position (10 to 90 degrees two-theta):
two_theta, Rel. int., index
18.0, 655, 0 0 1
20.1, 892, 0 1 0
23.1, 336, 1 1 0
24.6, 1000, 0 1 1
28.7, 433, 1 0 -1
29.3, 460, 0 1 -1
33.0, 531, 1 1 -1
37.4, 321, -1 1 1
38.7, 395, 2 1 0
47.1, 309, 2 2 0

Structure:
```
SiNiO2
1.0
4.829 0.000 0.000
1.779 4.493 0.000
1.042 0.851 4.937
Si Ni O
2 2 4
Direct
0.000 0.000 0.000
0.415 0.410 0.970
0.039 0.768 0.443
0.637 0.774 0.240
0.200 0.731 0.794
0.270 0.142 0.005
0.426 0.488 0.258
0.760 0.282 0.807
```